DyTmCu6: computed powder X-ray diffraction pattern (Cu Ka), based on DFT lattice parameters and positions (PBE).

Peak list (10 most intense, 10 to 80 degrees two-theta, low angle first)
Position (°2θ)  d/Å  I/Imax  hkl
25.78  3.455  27  1 1 0
31.17  2.870  26  1 1 1
35.98  2.496  33  0 2 1
38.34  2.348  27  0 1 2
40.73  2.215  53  1 0 2
41.60  2.171  41  2 0 0
41.74  2.164  100  1 2 1
56.15  1.638  18  2 2 1
57.85  1.594  16  2 1 2
76.03  1.252  19  3 2 1

Crystal structure
```
data_DyTmCu6
_chemical_formula_sum 'Dy1 Tm1 Cu6'
_cell_length_a 4.3414
_cell_length_b 5.7071
_cell_length_c 5.1516
_cell_angle_alpha 90.00
_cell_angle_beta 90.00
_cell_angle_gamma 90.00
_symmetry_space_group_name_H-M 'P m m 2'
_symmetry_Int_Tables_number 25
loop_
_symmetry_equiv_pos_as_xyz
'x,y,z'
'-x,-y,z'
'-x,y,z'
'x,-y,z'
loop_
_atom_site_label
_atom_site_fract_x
_atom_site_fract_y
_atom_site_fract_z
Dy1 0.0000 0.0000 0.0000
Tm1 0.5000 0.5000 0.2677
Cu1 0.0000 0.2324 0.4949
Cu2 0.0000 0.5000 0.8820
Cu3 0.5000 0.0000 0.3993
Cu4 0.5000 0.2766 0.7715
```

---

DyYCu4: computed powder X-ray diffraction pattern (Cu Ka), based on DFT lattice parameters and positions (PBE).

Peak list (10 most intense, 10 to 80 degrees two-theta, low angle first)
Position (°2θ)  d/Å  I/Imax  hkl
24.03  3.703  11  1 0 1
34.68  2.587  25  1 1 2
35.90  2.501  100  1 2 1
41.77  2.162  12  0 3 1
42.19  2.142  24  2 0 0
42.32  2.136  36  1 0 3
56.59  1.626  15  2 2 2
69.23  1.357  12  1 3 4
70.92  1.329  10  2 4 0
73.02  1.296  8  3 2 1

Crystal structure
```
data_DyYCu4
_chemical_formula_sum 'Dy2 Y2 Cu8'
_cell_length_a 4.2839
_cell_length_b 6.7841
_cell_length_c 7.3906
_cell_angle_alpha 90.00
_cell_angle_beta 90.00
_cell_angle_gamma 90.00
_symmetry_space_group_name_H-M 'I m m 2'
_symmetry_Int_Tables_number 44
loop_
_symmetry_equiv_pos_as_xyz
'x,y,z'
'-x,-y,z'
'-x,y,z'
'x,-y,z'
'x+1/2,y+1/2,z+1/2'
'-x+1/2,-y+1/2,z+1/2'
'-x+1/2,y+1/2,z+1/2'
'x+1/2,-y+1/2,z+1/2'
loop_
_atom_site_label
_atom_site_fract_x
_atom_site_fract_y
_atom_site_fract_z
Dy1 0.0000 0.0000 0.0000
Y1 0.0000 0.5000 0.9168
Cu1 0.0000 0.2044 0.6241
Cu2 0.0000 0.2970 0.2948
```